This entry pairs a crystal structure of Cs2HgBr4 with its calculated powder diffractogram. Radiation: Cu Kα. Structure: DFT lattice parameters and positions (PBE).
Neutral-atom scattering factors, no anomalous dispersion.

Crystal structure
```
data_Cs2HgBr4
_symmetry_space_group_name_H-M 'P 1 21/c 1'
_symmetry_Int_Tables_number 14
_cell_length_a 8.159
_cell_length_b 10.502
_cell_length_c 16.577
_cell_angle_alpha 90.00
_cell_angle_beta 119.36
_cell_angle_gamma 90.00
loop_
_symmetry_equiv_pos_as_xyz
'x,y,z'
'-x,-y,-z'
'-x,y+1/2,-z+1/2'
'x,-y+1/2,z+1/2'
loop_
_atom_site_label
_atom_site_fract_x
_atom_site_fract_y
_atom_site_fract_z
_atom_site_occupancy
Cs1 0.090 0.016 0.329 1
Cs2 0.342 0.118 0.101 1
Hg1 0.323 0.723 0.076 1
Br1 0.103 0.675 0.637 1
Br2 0.195 0.676 0.407 1
Br3 0.329 0.186 0.818 1
Br4 0.344 0.029 0.589 1
```

Most intense lines, 2θ from 5° to 70°, sorted by position:
| Position (°2θ) | Rel. int. |
| --- | --- |
| 15.06 | 60 |
| 21.43 | 76 |
| 21.79 | 73 |
| 24.65 | 47 |
| 25.08 | 44 |
| 28.36 | 100 |
| 28.42 | 67 |
| 30.39 | 36 |